# 1
Theoretical powder XRD pattern
Compound: CoO
Radiation: Cu Ka
Structure: a structure optimized by DFT (PBE+U)
Neutral-atom scattering factors, no anomalous dispersion.

Cell and atoms:
```
CoO
1.0
2.107 -2.251 0.000
2.107 2.251 0.000
0.000 0.000 4.201
Co O
2 2
direct
0.250 0.750 0.752 Co
0.750 0.250 0.248 Co
0.250 0.750 0.251 O
0.750 0.250 0.749 O
```

Main lines, low angle first (5 to 70 degrees two-theta):
| 2θ (°) | Rel. int. |
| --- | --- |
| 36.19 | 100.0 |
| 40.06 | 54.7 |
| 42.92 | 44.1 |
| 43.06 | 43.6 |
| 60.15 | 28.5 |
| 60.26 | 28.3 |
| 62.42 | 25.0 |

***

# 2
Theoretical powder XRD pattern
Compound: CoO2
Radiation: Cu Ka
Structure: a structure optimized by DFT (PBE+U)
Neutral-atom scattering factors, no anomalous dispersion.

Cell and atoms:
```
CoO2
1.0
1.453 -4.655 0.000
1.453 4.655 0.000
0.000 0.000 9.320
Co O
4 8
direct
0.135 0.865 0.573 Co
0.135 0.865 0.927 Co
0.865 0.135 0.073 Co
0.865 0.135 0.427 Co
0.067 0.933 0.750 O
0.236 0.764 0.103 O
0.236 0.764 0.397 O
0.500 0.500 0.000 O
0.500 0.500 0.500 O
0.764 0.236 0.603 O
0.764 0.236 0.897 O
0.933 0.067 0.250 O
```

Main lines, low angle first (5 to 70 degrees two-theta):
| 2θ (°) | Rel. int. |
| --- | --- |
| 19.05 | 100.0 |
| 21.34 | 79.5 |
| 32.28 | 47.3 |
| 34.72 | 58.1 |
| 42.63 | 44.7 |
| 43.76 | 40.1 |
| 47.08 | 31.9 |
| 52.22 | 21.0 |
| 59.79 | 18.1 |
| 66.84 | 34.1 |

***

# 3
Theoretical powder XRD pattern
Compound: CoO
Radiation: Cu Ka
Structure: a structure optimized by DFT (PBE+U)
Neutral-atom scattering factors, no anomalous dispersion.

Cell and atoms:
```
CoO
1.0
3.012 0.000 0.000
-1.498 2.618 0.000
-1.431 -0.861 5.002
Co O
2 2
direct
0.000 0.000 0.000 Co
0.000 0.500 0.500 Co
0.498 0.247 0.750 O
0.502 0.753 0.250 O
```

Main lines, low angle first (5 to 70 degrees two-theta):
| 2θ (°) | Rel. int. |
| --- | --- |
| 35.90 | 27.0 |
| 36.23 | 26.4 |
| 36.37 | 26.1 |
| 36.63 | 25.6 |
| 42.00 | 100.0 |
| 42.44 | 48.4 |
| 60.31 | 14.9 |
| 60.82 | 14.5 |
| 61.27 | 28.3 |
| 61.49 | 14.0 |